Simulated powder diffraction line list
Compound: Na3ReN3
Radiation: Cu Kα (λ = 1.5418 Å)
Structure: a cell relaxed with GGA-PBE

Most intense lines, 15 to 90 degrees two-theta, most intense first:
hkl 0 1 1, 22.34°, I = 100; hkl 2 1 -2, 32.43°, I = 60; hkl 1 0 1, 23.20°, I = 41; hkl 1 1 -3, 40.25°, I = 36; hkl 0 0 2, 26.85°, I = 29; hkl 2 0 2, 47.43°, I = 22; hkl 2 2 2, 61.04°, I = 20; hkl 0 2 0, 36.14°, I = 18; hkl 1 2 1, 43.38°, I = 17; hkl 4 1 -3, 53.02°, I = 16

Atomic structure:
Unit cell a=7.665 b=4.971 c=7.666 alpha=90.00 beta=119.94 gamma=90.00
Atoms (fractional coordinates):
Na: 0.159 0.250 0.331
Na: 0.328 0.750 0.159
Na: 0.331 0.750 0.671
Na: 0.669 0.250 0.329
Na: 0.672 0.250 0.841
Na: 0.841 0.750 0.669
Re: 0.167 0.250 0.833
Re: 0.833 0.750 0.167
N: 0.106 0.750 0.304
N: 0.301 0.250 0.106
N: 0.304 0.250 0.698
N: 0.696 0.750 0.302
N: 0.699 0.750 0.894
N: 0.894 0.250 0.696